Diffraction record for Sr2Tl4Pd3. The powder X-ray diffraction pattern is computed, not measured: it uses DFT lattice parameters and positions (GGA-PBE) and Cu Kα X-rays.
Neutral-atom scattering factors, no anomalous dispersion.

Cell and atoms:
a b c (Å): 8.9950 7.9793 5.9151
angles (deg): 79.16 60.61 40.23
Sites, in units of the cell vectors:
Sr  0.1213  0.1213  0.8787
Sr  0.8787  0.8787  0.1213
Tl  0.1765  0.5065  0.4935
Tl  0.4935  0.8235  0.1765
Tl  0.5065  0.1765  0.8235
Tl  0.8235  0.4935  0.5065
Pd  0.0000  0.0000  0.5000
Pd  0.5000  0.5000  0.0000
Pd  0.5000  0.5000  0.5000

Principal peaks in the range 2θ = 10–80°, most intense first:
35.4 deg, intensity 100
56.8 deg, intensity 29
30.8 deg, intensity 29
30.0 deg, intensity 28
36.4 deg, intensity 25
38.8 deg, intensity 25
37.0 deg, intensity 21
18.2 deg, intensity 20
62.8 deg, intensity 16
74.9 deg, intensity 15